This entry pairs a crystal structure of Al4GaAg7 with its simulated PXRD pattern. Radiation: λ = 1.5418 Å (Cu Kα). Structure: a structure optimized by DFT (GGA-PBE).
Peak positions follow from Bragg's law for the DFT cell and can differ from measured ones.

Cell and atoms:
```
data_Al4GaAg7
_cell_length_a 5.2138
_cell_length_b 5.2814
_cell_length_c 7.8649
_cell_angle_alpha 102.72
_cell_angle_beta 92.71
_cell_angle_gamma 95.73
_symmetry_space_group_name_H-M 'P -1'
_symmetry_Int_Tables_number 2
loop_
_symmetry_equiv_pos_as_xyz
'x,y,z'
'-x,-y,-z'
loop_
_atom_site_label
_atom_site_fract_x
_atom_site_fract_y
_atom_site_fract_z
_atom_site_occupancy
Al1 0.1247 0.3480 0.3040 1
Al2 0.3178 0.8656 0.2450 1
Ga1 0.5000 0.5000 0.0000 1
Ag1 0.0000 0.5000 0.0000 1
Ag2 0.1612 0.2317 0.6320 1
Ag3 0.2399 0.9864 0.9177 1
Ag4 0.3749 0.7305 0.5639 1
```

Most intense lines, 2θ = 10–90°, in order of falling intensity:
two_theta, Rel. int.
39.49, 1000
40.55, 756
40.82, 553
39.58, 525
21.40, 371
34.34, 359



This entry pairs a crystal structure of K2SbAuSe4 with its simulated PXRD pattern. Radiation: λ = 1.5418 Å (Cu Kα). Structure: a structure optimized by DFT (GGA-PBE).
Peak positions follow from Bragg's law for the DFT cell and can differ from measured ones.

Cell and atoms:
```
data_K2SbAuSe4
_cell_length_a 6.1114
_cell_length_b 14.1117
_cell_length_c 25.2097
_cell_angle_alpha 90.00
_cell_angle_beta 90.00
_cell_angle_gamma 90.00
_symmetry_space_group_name_H-M 'F d d d'
_symmetry_Int_Tables_number 70
loop_
_symmetry_equiv_pos_as_xyz
'x,y,z'
'-x,-y,-z'
'-x+1/4,-y+1/4,z'
'x+1/4,y+1/4,-z'
'x,-y+1/4,-z+1/4'
'-x,y+1/4,z+1/4'
'-x+1/4,y,-z+1/4'
'x+1/4,-y,z+1/4'
'x,y+1/2,z+1/2'
'-x,-y+1/2,-z+1/2'
'-x+1/4,-y+3/4,z+1/2'
'x+1/4,y+3/4,-z+1/2'
'x,-y+3/4,-z+3/4'
'-x,y+3/4,z+3/4'
'-x+1/4,y+1/2,-z+3/4'
'x+1/4,-y+1/2,z+3/4'
'x+1/2,y,z+1/2'
'-x+1/2,-y,-z+1/2'
'-x+3/4,-y+1/4,z+1/2'
'x+3/4,y+1/4,-z+1/2'
'x+1/2,-y+1/4,-z+3/4'
'-x+1/2,y+1/4,z+3/4'
'-x+3/4,y,-z+3/4'
'x+3/4,-y,z+3/4'
'x+1/2,y+1/2,z'
'-x+1/2,-y+1/2,-z'
'-x+3/4,-y+3/4,z'
'x+3/4,y+3/4,-z'
'x+1/2,-y+3/4,-z+1/4'
'-x+1/2,y+3/4,z+1/4'
'-x+3/4,y+1/2,-z+1/4'
'x+3/4,-y+1/2,z+1/4'
loop_
_atom_site_label
_atom_site_fract_x
_atom_site_fract_y
_atom_site_fract_z
_atom_site_occupancy
K1 0.1250 0.1250 0.3138 1
Sb1 0.1250 0.1250 0.6250 1
Au1 0.1250 0.1250 0.1250 1
Se1 0.0963 0.2653 0.8156 1
```

Most intense lines, 2θ = 10–90°, in order of falling intensity:
two_theta, Rel. int.
14.39, 1000
14.05, 699
39.67, 399
36.35, 366
24.66, 363
29.81, 337



This entry pairs a crystal structure of HoTmAl4 with its simulated PXRD pattern. Radiation: λ = 1.5418 Å (Cu Kα). Structure: a structure optimized by DFT (GGA-PBE).
Peak positions follow from Bragg's law for the DFT cell and can differ from measured ones.

Cell and atoms:
```
data_HoTmAl4
_cell_length_a 7.8162
_cell_length_b 7.8162
_cell_length_c 7.8162
_cell_angle_alpha 90.00
_cell_angle_beta 90.00
_cell_angle_gamma 90.00
_symmetry_space_group_name_H-M 'F -4 3 m'
_symmetry_Int_Tables_number 216
_symmetry_space_group_name_Hall 'F -4 2 3'
loop_
_atom_site_label
_atom_site_fract_x
_atom_site_fract_y
_atom_site_fract_z
_atom_site_occupancy
Ho1 0.0000 0.0000 0.0000 1
Tm1 0.2500 0.2500 0.2500 1
Al1 0.1250 0.1250 0.6250 1
```

Most intense lines, 2θ = 10–90°, in order of falling intensity:
two_theta, Rel. int.
32.40, 1000
38.19, 973
19.67, 652
57.79, 388
61.66, 320
67.83, 209



This entry pairs a crystal structure of RbNaTlAu2 with its simulated PXRD pattern. Radiation: λ = 1.5418 Å (Cu Kα). Structure: a structure optimized by DFT (GGA-PBE).
Peak positions follow from Bragg's law for the DFT cell and can differ from measured ones.

Cell and atoms:
```
data_RbNaTlAu2
_cell_length_a 4.8848
_cell_length_b 4.8848
_cell_length_c 12.4217
_cell_angle_alpha 90.00
_cell_angle_beta 90.00
_cell_angle_gamma 90.00
_symmetry_space_group_name_H-M 'I -4 m 2'
_symmetry_Int_Tables_number 119
_symmetry_space_group_name_Hall 'I -4 -2'
loop_
_atom_site_label
_atom_site_fract_x
_atom_site_fract_y
_atom_site_fract_z
_atom_site_occupancy
Rb1 0.0000 0.0000 0.0000 1
Na1 0.0000 0.5000 0.7500 1
Tl1 0.0000 0.5000 0.2500 1
Au1 0.0000 0.0000 0.3888 1
```

Most intense lines, 2θ = 10–90°, in order of falling intensity:
two_theta, Rel. int.
19.53, 1000
29.59, 700
36.80, 685
39.00, 611
28.25, 611
40.75, 500



This entry pairs a crystal structure of Ca3Cd2In2Hg4 with its simulated PXRD pattern. Radiation: λ = 1.5418 Å (Cu Kα). Structure: a structure optimized by DFT (GGA-PBE).
Peak positions follow from Bragg's law for the DFT cell and can differ from measured ones.

Cell and atoms:
```
data_Ca3Cd2In2Hg4
_cell_length_a 4.9735
_cell_length_b 4.9735
_cell_length_c 13.8220
_cell_angle_alpha 90.00
_cell_angle_beta 90.00
_cell_angle_gamma 120.00
_symmetry_space_group_name_H-M 'P -3 m 1'
_symmetry_Int_Tables_number 164
_symmetry_space_group_name_Hall '-P 3 2"'
loop_
_atom_site_label
_atom_site_fract_x
_atom_site_fract_y
_atom_site_fract_z
_atom_site_occupancy
Ca1 0.0000 0.0000 0.0000 1
Ca2 0.0000 0.0000 0.2738 1
Cd1 0.3333 0.6667 0.5742 1
In1 0.3333 0.6667 0.1395 1
Hg1 0.3333 0.6667 0.3651 1
Hg2 0.3333 0.6667 0.8789 1
```

Most intense lines, 2θ = 10–90°, in order of falling intensity:
two_theta, Rel. int.
36.12, 1000
33.24, 580
44.91, 524
20.62, 521
25.78, 374
24.35, 312



This entry pairs a crystal structure of AcCd2AgPd2 with its simulated PXRD pattern. Radiation: λ = 1.5418 Å (Cu Kα). Structure: a structure optimized by DFT (GGA-PBE).
Peak positions follow from Bragg's law for the DFT cell and can differ from measured ones.

Cell and atoms:
```
data_AcCd2AgPd2
_cell_length_a 5.3503
_cell_length_b 5.3503
_cell_length_c 11.0131
_cell_angle_alpha 90.00
_cell_angle_beta 90.00
_cell_angle_gamma 90.00
_symmetry_space_group_name_H-M 'I 4/m m m'
_symmetry_Int_Tables_number 139
_symmetry_space_group_name_Hall '-I 4 2'
loop_
_atom_site_label
_atom_site_fract_x
_atom_site_fract_y
_atom_site_fract_z
_atom_site_occupancy
Ac1 0.0000 0.0000 0.0000 1
Cd1 0.0000 0.5000 0.2500 1
Ag1 0.0000 0.0000 0.5000 1
Pd1 0.0000 0.0000 0.2575 1
```

Most intense lines, 2θ = 10–90°, in order of falling intensity:
two_theta, Rel. int.
33.50, 1000
47.38, 740
28.63, 594
32.52, 536
23.52, 413
59.27, 374